Entry 1:
Starting from DFT lattice parameters and positions (PBE), the PXRD pattern of TbY2Er4Mg was computed for copper Kα.
Neutral-atom scattering factors, no anomalous dispersion.

The 12 most intense peaks (2θ from 10° to 90°), by intensity:
- 31.3 deg, I = 100.0
- 36.5 deg, I = 33.1
- 52.1 deg, I = 23.9
- 35.9 deg, I = 17.3
- 61.6 deg, I = 14.3
- 62.4 deg, I = 13.8
- 62.5 deg, I = 13.7
- 65.3 deg, I = 12.1
- 52.6 deg, I = 11.6
- 17.7 deg, I = 7.9
- 25.6 deg, I = 6.8
- 85.2 deg, I = 5.9

Atomic structure:
a b c (Å): 4.918 4.929 10.019
angles (deg): 90.00 90.00 90.00
Element x y z (fractional)
1 Tb 0.000 0.000 0.000
2 Y 0.000 0.000 0.500
3 Y 0.500 0.500 0.000
4 Er 0.000 0.500 0.251
5 Er 0.000 0.500 0.749
6 Er 0.500 0.000 0.252
7 Er 0.500 0.000 0.748
8 Mg 0.500 0.500 0.500


Entry 2:
Starting from DFT lattice parameters and positions (PBE), the PXRD pattern of CaLa2Nd6 was computed for copper Kα.
Neutral-atom scattering factors, no anomalous dispersion.

The 12 most intense peaks (2θ from 10° to 90°), by intensity:
- 30.6 deg, I = 100.0
- 32.2 deg, I = 56.0
- 29.7 deg, I = 48.7
- 58.2 deg, I = 43.2
- 27.8 deg, I = 38.1
- 48.8 deg, I = 37.0
- 32.3 deg, I = 27.9
- 52.3 deg, I = 23.2
- 38.5 deg, I = 18.1
- 55.4 deg, I = 16.8
- 58.7 deg, I = 15.6
- 59.7 deg, I = 14.1

Atomic structure:
a b c (Å): 7.469 9.271 9.879
angles (deg): 103.14 100.87 90.07
Element x y z (fractional)
1 Ca 0.213 0.334 0.355
2 Ca 0.787 0.666 0.645
3 La 0.379 0.334 0.016
4 La 0.420 0.996 0.165
5 La 0.580 0.004 0.835
6 La 0.621 0.666 0.984
7 Nd 0.045 0.327 0.688
8 Nd 0.085 0.000 0.835
9 Nd 0.121 0.667 0.983
10 Nd 0.249 0.993 0.503
11 Nd 0.286 0.670 0.651
12 Nd 0.452 0.671 0.315
13 Nd 0.548 0.329 0.685
14 Nd 0.714 0.330 0.349
15 Nd 0.751 0.007 0.497
16 Nd 0.879 0.333 0.017
17 Nd 0.915 0.000 0.165
18 Nd 0.955 0.673 0.312


Entry 3:
Starting from DFT lattice parameters and positions (PBE), the PXRD pattern of Cs4HSeBr was computed for copper Kα.
Neutral-atom scattering factors, no anomalous dispersion.

The 12 most intense peaks (2θ from 10° to 90°), by intensity:
- 24.2 deg, I = 100.0
- 29.1 deg, I = 69.3
- 31.8 deg, I = 59.6
- 42.8 deg, I = 31.7
- 28.1 deg, I = 26.6
- 45.5 deg, I = 26.4
- 27.9 deg, I = 25.9
- 52.2 deg, I = 23.9
- 55.0 deg, I = 22.7
- 42.9 deg, I = 16.5
- 54.2 deg, I = 15.7
- 75.4 deg, I = 11.9

Atomic structure:
a b c (Å): 5.634 5.634 19.198
angles (deg): 90.00 90.00 90.00
Element x y z (fractional)
1 Cs 0.000 0.000 0.000
2 Cs 0.000 0.000 0.357
3 Cs 0.000 0.500 0.194
4 Cs 0.000 0.500 0.694
5 Cs 0.500 0.000 0.194
6 Cs 0.500 0.000 0.694
7 Cs 0.500 0.500 0.500
8 Cs 0.500 0.500 0.857
9 H 0.000 0.000 0.158
10 H 0.500 0.500 0.658
11 Se 0.000 0.000 0.816
12 Se 0.500 0.500 0.316
13 Br 0.000 0.000 0.544
14 Br 0.500 0.500 0.044


Entry 4:
Starting from DFT lattice parameters and positions (PBE), the PXRD pattern of SmTlH was computed for copper Kα.
Neutral-atom scattering factors, no anomalous dispersion.

The 12 most intense peaks (2θ from 10° to 90°), by intensity:
- 33.2 deg, I = 100.0
- 30.1 deg, I = 67.3
- 55.5 deg, I = 47.0
- 43.2 deg, I = 26.0
- 61.2 deg, I = 14.9
- 88.6 deg, I = 13.2
- 71.1 deg, I = 11.9
- 72.8 deg, I = 10.5
- 69.7 deg, I = 10.0
- 62.7 deg, I = 8.7
- 12.6 deg, I = 7.3
- 51.9 deg, I = 6.0

Atomic structure:
a b c (Å): 4.192 4.192 7.053
angles (deg): 90.00 90.00 90.00
Element x y z (fractional)
1 Sm 0.250 0.250 0.139
2 Sm 0.750 0.750 0.861
3 Tl 0.250 0.250 0.604
4 Tl 0.750 0.750 0.396
5 H 0.250 0.750 0.000
6 H 0.750 0.250 0.000


Entry 5:
Starting from DFT lattice parameters and positions (PBE), the PXRD pattern of KH3Au was computed for copper Kα.
Neutral-atom scattering factors, no anomalous dispersion.

The 11 most intense peaks (2θ from 10° to 90°), by intensity:
- 32.5 deg, I = 100.0
- 22.8 deg, I = 52.0
- 57.9 deg, I = 38.0
- 52.5 deg, I = 24.5
- 46.6 deg, I = 19.0
- 77.4 deg, I = 16.5
- 40.0 deg, I = 16.2
- 72.7 deg, I = 12.1
- 68.0 deg, I = 12.0
- 81.9 deg, I = 7.1
- 86.4 deg, I = 4.3

Atomic structure:
a b c (Å): 3.900 3.900 3.900
angles (deg): 90.00 90.00 90.00
Element x y z (fractional)
1 K 0.000 0.000 0.000
2 H 0.000 0.500 0.500
3 H 0.500 0.000 0.500
4 H 0.500 0.500 0.000
5 Au 0.500 0.500 0.500


Entry 6:
Starting from DFT lattice parameters and positions (PBE), the PXRD pattern of NdB2N2 was computed for copper Kα.
Neutral-atom scattering factors, no anomalous dispersion.

The 12 most intense peaks (2θ from 10° to 90°), by intensity:
- 21.4 deg, I = 100.0
- 38.8 deg, I = 59.3
- 37.6 deg, I = 58.0
- 50.1 deg, I = 34.6
- 68.6 deg, I = 22.7
- 55.1 deg, I = 21.7
- 31.9 deg, I = 21.0
- 43.7 deg, I = 17.0
- 59.0 deg, I = 14.6
- 79.2 deg, I = 11.8
- 76.9 deg, I = 9.2
- 67.8 deg, I = 9.2

Atomic structure:
a b c (Å): 4.785 4.785 2.805
angles (deg): 90.00 90.00 120.00
Element x y z (fractional)
1 Nd 0.000 0.000 0.000
2 B 0.333 0.667 0.500
3 B 0.667 0.333 0.500
4 N 0.333 0.667 0.000
5 N 0.667 0.333 0.000